(1)
# CsCu2F6
Theoretical XRD peak list, Cu Kα. Input: DFT lattice parameters and positions (GGA-PBE).
Neutral-atom scattering factors, no anomalous dispersion.

Cell and atoms:
```
18
Lattice="0.0000 5.1819 5.1819 5.1819 0.0000 5.1819 5.1819 5.1819 0.0000" Properties=species:S:1:pos:R:3 pbc="T T T"
Cs 1.2955 1.2955 1.2955
Cs 9.0683 9.0683 9.0683
Cu 5.1819 2.5909 2.5909
Cu 2.5909 5.1819 2.5909
Cu 2.5909 2.5909 5.1819
Cu 5.1819 5.1819 5.1819
F 3.8864 3.8864 1.9095
F 3.8864 1.9095 3.8864
F 5.8633 3.8864 3.8864
F 6.4774 6.4774 4.5005
F 6.4774 4.5005 6.4774
F 8.4542 6.4774 6.4774
F 1.9095 3.8864 3.8864
F 3.8864 5.8633 3.8864
F 3.8864 3.8864 5.8633
F 4.5005 6.4774 6.4774
F 6.4774 8.4542 6.4774
F 6.4774 6.4774 8.4542
```

Most intense lines, 2θ = 10–80°, by angle:
| 2theta | Rel. int. |
| --- | --- |
| 24.29 | 33 |
| 28.57 | 100 |
| 29.87 | 21 |
| 45.48 | 31 |
| 49.77 | 36 |
| 56.13 | 14 |
| 58.39 | 15 |
| 59.13 | 8 |
| 67.65 | 10 |
| 69.69 | 23 |



(2)
# Ba2Ca3
Theoretical XRD peak list, Cu Kα. Input: DFT lattice parameters and positions (GGA-PBE).
Neutral-atom scattering factors, no anomalous dispersion.

Cell and atoms:
```
20
Lattice="11.5298 0.0000 0.0000 0.0000 6.4155 0.0000 0.0000 0.0000 14.0894" Properties=species:S:1:pos:R:3 pbc="T T T"
Ba 1.4440 1.6006 0.4620
Ba 1.4440 4.8148 7.5067
Ba 4.3209 1.6071 7.5067
Ba 4.3209 4.8084 0.4620
Ba 7.2089 1.6071 13.6275
Ba 7.2089 4.8084 6.5828
Ba 10.0857 1.6006 6.5828
Ba 10.0857 4.8148 13.6275
Ca 0.0000 1.5893 10.5671
Ca 0.0000 4.8261 3.5224
Ca 1.8872 1.6194 4.3782
Ca 1.8872 4.7961 11.4229
Ca 3.8777 1.5883 11.4229
Ca 3.8777 4.8272 4.3782
Ca 5.7649 1.6184 3.5224
Ca 5.7649 4.7971 10.5671
Ca 7.6521 1.5883 9.7113
Ca 7.6521 4.8272 2.6666
Ca 9.6426 1.6194 2.6666
Ca 9.6426 4.7961 9.7113
```

Most intense lines, 2θ = 10–80°, by angle:
| 2theta | Rel. int. |
| --- | --- |
| 12.57 | 28 |
| 21.66 | 100 |
| 24.73 | 24 |
| 26.45 | 29 |
| 27.80 | 67 |
| 28.18 | 80 |
| 33.59 | 19 |
| 38.76 | 20 |
| 42.16 | 23 |
| 44.15 | 18 |



(3)
# K2Cd4Ag5
Theoretical XRD peak list, Cu Kα. Input: DFT lattice parameters and positions (GGA-PBE).
Neutral-atom scattering factors, no anomalous dispersion.

Cell and atoms:
```
11
Lattice="0.0000 5.1720 9.0443 3.0578 0.0000 9.0443 3.0578 5.1720 0.0000" Properties=species:S:1:pos:R:3 pbc="T T T"
K 3.0578 5.1720 2.4763
K 3.0578 5.1720 15.6124
Cd 3.0578 3.5224 6.7191
Cd 3.0578 3.5224 11.3695
Cd 3.0578 6.8216 6.7191
Cd 3.0578 6.8216 11.3695
Ag 1.5289 2.5860 0.0000
Ag 1.5289 2.5860 4.5222
Ag 1.5289 2.5860 9.0443
Ag 3.0578 5.1720 9.0443
Ag 4.5867 7.7580 13.5665
```

Most intense lines, 2θ = 10–80°, by angle:
| 2theta | Rel. int. |
| --- | --- |
| 17.14 | 77 |
| 17.55 | 77 |
| 33.33 | 83 |
| 34.06 | 29 |
| 35.44 | 100 |
| 38.98 | 36 |
| 39.62 | 85 |
| 39.87 | 53 |
| 40.17 | 55 |
| 76.09 | 28 |



(4)
# U3S3Cl
Theoretical XRD peak list, Cu Kα. Input: DFT lattice parameters and positions (GGA-PBE).
Neutral-atom scattering factors, no anomalous dispersion.

Cell and atoms:
```
7
Lattice="3.8675 0.0000 0.0000 0.0000 3.8675 0.0000 0.0000 0.0000 10.8571" Properties=species:S:1:pos:R:3 pbc="T T T"
U 0.0000 0.0000 0.0000
U 1.9338 1.9338 2.6904
U 1.9338 1.9338 8.1667
S 0.0000 0.0000 2.8016
S 0.0000 0.0000 8.0555
S 1.9338 1.9338 0.0000
Cl 1.9338 1.9338 5.4285
```

Most intense lines, 2θ = 10–80°, by angle:
| 2theta | Rel. int. |
| --- | --- |
| 24.43 | 24 |
| 28.33 | 100 |
| 32.75 | 79 |
| 33.00 | 39 |
| 46.99 | 29 |
| 47.18 | 57 |
| 55.78 | 34 |
| 56.12 | 17 |
| 58.61 | 30 |
| 78.73 | 17 |